This entry pairs a crystal structure of Ba2Cd9Rh3 with its computed powder diffraction line list. Radiation: Cu Kα (weighted mean of Kα1 and Kα2). Structure: a crystal structure in Alexandria, relaxed with PBE.
Intensities are scaled so that the largest is 100.

Cell and atoms:
```
data_Ba2Cd9Rh3
_chemical_formula_sum 'Ba8 Cd36 Rh12'
_cell_length_a 14.971
_cell_length_b 8.240
_cell_length_c 11.952
_cell_angle_alpha 90.00
_cell_angle_beta 116.07
_cell_angle_gamma 90.00
_symmetry_space_group_name_H-M 'C 1 2/c 1'
_symmetry_Int_Tables_number 15
loop_
_symmetry_equiv_pos_as_xyz
'x,y,z'
'-x,-y,-z'
'-x,y,-z+1/2'
'x,-y,z+1/2'
'x+1/2,y+1/2,z'
'-x+1/2,-y+1/2,-z'
'-x+1/2,y+1/2,-z+1/2'
'x+1/2,-y+1/2,z+1/2'
loop_
_atom_site_label
_atom_site_fract_x
_atom_site_fract_y
_atom_site_fract_z
_atom_site_occupancy
Ba1 0.175 0.074 0.243 1
Cd1 0.000 0.337 0.250 1
Cd2 0.061 0.084 0.927 1
Cd3 0.092 0.414 0.032 1
Cd4 0.104 0.322 0.748 1
Cd5 0.223 0.414 0.442 1
Rh1 0.087 0.238 0.506 1
Rh2 0.250 0.250 0.000 1
```

Largest 8 diffraction maxima, by angle, 2θ from 5° to 70°:
hkl, d_spacing, two_theta, intensity
3 1 -4, 2.771, 32.31, 49
3 1 2, 2.714, 33.00, 49
0 2 3, 2.702, 33.16, 53
0 0 4, 2.685, 33.37, 54
6 0 -2, 2.494, 36.00, 58
3 3 -1, 2.406, 37.38, 100
6 0 -4, 2.283, 39.48, 24
3 3 -5, 1.803, 50.63, 17


This entry pairs a crystal structure of RbIn8Ge2 with its computed powder diffraction line list. Radiation: Cu Kα (weighted mean of Kα1 and Kα2). Structure: a crystal structure in Alexandria, relaxed with PBE.
Intensities are scaled so that the largest is 100.

Cell and atoms:
```
data_RbIn8Ge2
_chemical_formula_sum 'Rb1 In8 Ge2'
_cell_length_a 6.236
_cell_length_b 6.236
_cell_length_c 10.515
_cell_angle_alpha 90.00
_cell_angle_beta 90.00
_cell_angle_gamma 90.00
_symmetry_space_group_name_H-M 'P 4/m m m'
_symmetry_Int_Tables_number 123
_symmetry_space_group_name_Hall '-P 4 2'
loop_
_atom_site_label
_atom_site_fract_x
_atom_site_fract_y
_atom_site_fract_z
_atom_site_occupancy
Rb1 0.000 0.000 0.000 1
In1 0.251 0.251 0.311 1
Ge1 0.000 0.500 0.500 1
```

Largest 8 diffraction maxima, by angle, 2θ from 5° to 70°:
hkl, d_spacing, two_theta, intensity
0 0 1, 10.515, 8.41, 100
0 0 2, 5.257, 16.86, 25
0 0 3, 3.505, 25.41, 30
2 0 0, 3.118, 28.63, 35
2 0 2, 2.682, 33.41, 81
2 0 3, 2.330, 38.65, 54
2 2 0, 2.205, 40.93, 38
2 2 3, 1.866, 48.80, 20


This entry pairs a crystal structure of KHg6H2 with its computed powder diffraction line list. Radiation: Cu Kα (weighted mean of Kα1 and Kα2). Structure: a crystal structure in Alexandria, relaxed with PBE.
Intensities are scaled so that the largest is 100.

Cell and atoms:
```
data_KHg6H2
_chemical_formula_sum 'K4 Hg24 H8'
_cell_length_a 6.613
_cell_length_b 11.687
_cell_length_c 11.583
_cell_angle_alpha 90.00
_cell_angle_beta 101.93
_cell_angle_gamma 90.00
_symmetry_space_group_name_H-M 'C 1 2/c 1'
_symmetry_Int_Tables_number 15
loop_
_symmetry_equiv_pos_as_xyz
'x,y,z'
'-x,-y,-z'
'-x,y,-z+1/2'
'x,-y,z+1/2'
'x+1/2,y+1/2,z'
'-x+1/2,-y+1/2,-z'
'-x+1/2,y+1/2,-z+1/2'
'x+1/2,-y+1/2,z+1/2'
loop_
_atom_site_label
_atom_site_fract_x
_atom_site_fract_y
_atom_site_fract_z
_atom_site_occupancy
K1 0.000 0.043 0.250 1
Hg1 0.073 0.436 0.889 1
Hg2 0.133 0.214 0.605 1
Hg3 0.149 0.303 0.133 1
H1 0.215 0.056 0.600 1
```

Largest 8 diffraction maxima, by angle, 2θ from 5° to 70°:
hkl, d_spacing, two_theta, intensity
0 2 0, 5.844, 15.16, 27
1 1 0, 5.661, 15.65, 39
2 2 -1, 2.871, 31.16, 36
0 0 4, 2.831, 31.60, 100
2 2 -2, 2.738, 32.71, 71
2 2 2, 2.367, 38.02, 38
0 4 3, 2.311, 38.97, 31
0 0 8, 1.417, 65.92, 20


This entry pairs a crystal structure of PrZn9Ir2 with its computed powder diffraction line list. Radiation: Cu Kα (weighted mean of Kα1 and Kα2). Structure: a crystal structure in Alexandria, relaxed with PBE.
Intensities are scaled so that the largest is 100.

Cell and atoms:
```
data_PrZn9Ir2
_chemical_formula_sum 'Pr4 Zn36 Ir8'
_cell_length_a 10.588
_cell_length_b 10.588
_cell_length_c 6.982
_cell_angle_alpha 90.00
_cell_angle_beta 90.00
_cell_angle_gamma 90.00
_symmetry_space_group_name_H-M 'I 41/a m d'
_symmetry_Int_Tables_number 141
loop_
_symmetry_equiv_pos_as_xyz
'x,y,z'
'-x,-y,-z'
'-y+1/4,x+3/4,z+1/4'
'y+1/4,-x+3/4,-z+1/4'
'-x+1/2,-y,z+1/2'
'x+1/2,y,-z+1/2'
'y+1/4,-x+1/4,z+3/4'
'-y+1/4,x+1/4,-z+3/4'
'x,-y,-z'
'-x,y,z'
'-y+1/4,-x+1/4,-z+3/4'
'y+1/4,x+1/4,z+3/4'
'-x+1/2,y,-z+1/2'
'x+1/2,-y,z+1/2'
'y+1/4,x+3/4,-z+1/4'
'-y+1/4,-x+3/4,z+1/4'
'x+1/2,y+1/2,z+1/2'
'-x+1/2,-y+1/2,-z+1/2'
'-y+3/4,x+1/4,z+3/4'
'y+3/4,-x+1/4,-z+3/4'
'-x,-y+1/2,z'
'x,y+1/2,-z'
'y+3/4,-x+3/4,z+1/4'
'-y+3/4,x+3/4,-z+1/4'
'x+1/2,-y+1/2,-z+1/2'
'-x+1/2,y+1/2,z+1/2'
'-y+3/4,-x+3/4,-z+1/4'
'y+3/4,x+3/4,z+1/4'
'-x,y+1/2,-z'
'x,-y+1/2,z'
'y+3/4,x+1/4,-z+3/4'
'-y+3/4,-x+1/4,z+3/4'
loop_
_atom_site_label
_atom_site_fract_x
_atom_site_fract_y
_atom_site_fract_z
_atom_site_occupancy
Pr1 0.000 0.250 0.375 1
Zn1 0.000 0.250 0.875 1
Zn2 0.122 0.043 0.683 1
Ir1 0.000 0.000 0.000 1
```

Largest 8 diffraction maxima, by angle, 2θ from 5° to 70°:
hkl, d_spacing, two_theta, intensity
1 0 1, 5.829, 15.20, 43
2 1 1, 3.919, 22.69, 60
3 2 1, 2.707, 33.09, 87
3 1 2, 2.416, 37.21, 85
4 2 0, 2.368, 38.01, 65
1 0 3, 2.273, 39.65, 57
5 0 1, 2.026, 44.72, 96
4 2 2, 1.959, 46.34, 100


This entry pairs a crystal structure of CuTcF3 with its computed powder diffraction line list. Radiation: Cu Kα (weighted mean of Kα1 and Kα2). Structure: a crystal structure in Alexandria, relaxed with PBE.
Intensities are scaled so that the largest is 100.

Cell and atoms:
```
data_CuTcF3
_chemical_formula_sum 'Cu1 Tc1 F3'
_cell_length_a 4.078
_cell_length_b 4.078
_cell_length_c 4.078
_cell_angle_alpha 90.00
_cell_angle_beta 90.00
_cell_angle_gamma 90.00
_symmetry_space_group_name_H-M 'P m -3 m'
_symmetry_Int_Tables_number 221
_symmetry_space_group_name_Hall '-P 4 2 3'
loop_
_atom_site_label
_atom_site_fract_x
_atom_site_fract_y
_atom_site_fract_z
_atom_site_occupancy
Cu1 0.000 0.000 0.000 1
Tc1 0.500 0.500 0.500 1
F1 0.000 0.000 0.500 1
```

Largest 6 diffraction maxima, by angle, 2θ from 5° to 70°:
hkl, d_spacing, two_theta, intensity
1 0 0, 4.078, 21.79, 1
1 1 0, 2.884, 31.01, 100
1 1 1, 2.354, 38.23, 13
2 0 0, 2.039, 44.43, 41
2 1 1, 1.665, 55.17, 39
2 2 0, 1.442, 64.65, 24


This entry pairs a crystal structure of Tl9SnSb2 with its computed powder diffraction line list. Radiation: Cu Kα (weighted mean of Kα1 and Kα2). Structure: a crystal structure in Alexandria, relaxed with PBE.
Intensities are scaled so that the largest is 100.

Cell and atoms:
```
data_Tl9SnSb2
_chemical_formula_sum 'Tl9 Sn1 Sb2'
_cell_length_a 4.941
_cell_length_b 4.941
_cell_length_c 14.944
_cell_angle_alpha 90.00
_cell_angle_beta 90.00
_cell_angle_gamma 90.00
_symmetry_space_group_name_H-M 'P 4/m m m'
_symmetry_Int_Tables_number 123
_symmetry_space_group_name_Hall '-P 4 2'
loop_
_atom_site_label
_atom_site_fract_x
_atom_site_fract_y
_atom_site_fract_z
_atom_site_occupancy
Tl1 0.000 0.000 0.000 1
Tl2 0.000 0.000 0.335 1
Tl3 0.000 0.500 0.168 1
Tl4 0.000 0.500 0.500 1
Sn1 0.500 0.500 0.000 1
Sb1 0.500 0.500 0.331 1
```

Largest 8 diffraction maxima, by angle, 2θ from 5° to 70°:
hkl, d_spacing, two_theta, intensity
1 1 3, 2.861, 31.27, 100
0 0 6, 2.491, 36.06, 17
2 0 0, 2.471, 36.36, 34
2 0 6, 1.754, 52.14, 24
2 2 0, 1.747, 52.37, 12
1 1 9, 1.500, 61.87, 15
3 1 3, 1.491, 62.27, 29
2 2 6, 1.430, 65.23, 12


This entry pairs a crystal structure of UMnInSe4 with its computed powder diffraction line list. Radiation: Cu Kα (weighted mean of Kα1 and Kα2). Structure: a crystal structure in Alexandria, relaxed with PBE.
Intensities are scaled so that the largest is 100.

Cell and atoms:
```
data_UMnInSe4
_chemical_formula_sum 'U2 Mn2 In2 Se8'
_cell_length_a 6.759
_cell_length_b 6.473
_cell_length_c 9.087
_cell_angle_alpha 90.00
_cell_angle_beta 108.95
_cell_angle_gamma 90.00
_symmetry_space_group_name_H-M 'P 1 21/m 1'
_symmetry_Int_Tables_number 11
loop_
_symmetry_equiv_pos_as_xyz
'x,y,z'
'-x,-y,-z'
'-x,y+1/2,-z'
'x,-y+1/2,z'
loop_
_atom_site_label
_atom_site_fract_x
_atom_site_fract_y
_atom_site_fract_z
_atom_site_occupancy
U1 0.234 0.250 0.054 1
Mn1 0.231 0.750 0.826 1
In1 0.275 0.250 0.559 1
Se1 0.028 0.514 0.214 1
Se2 0.441 0.750 0.658 1
Se3 0.449 0.750 0.093 1
```

Largest 8 diffraction maxima, by angle, 2θ from 5° to 70°:
hkl, d_spacing, two_theta, intensity
0 0 1, 8.594, 10.29, 100
1 1 0, 4.549, 19.52, 69
0 2 0, 3.237, 27.56, 49
2 0 -2, 3.090, 28.90, 50
1 1 2, 2.816, 31.78, 80
2 1 -2, 2.789, 32.10, 63
0 2 2, 2.585, 34.70, 46
1 0 -4, 2.273, 39.65, 75